Diffraction record for SmMoI4O15. The PXRD pattern is calculated, not measured: it uses a crystal structure in the Materials Project, relaxed with PBE+U and CuKα.

Principal peaks in the range 2θ from 5° to 70°, sorted by position:
2theta	Rel. int.	(hkl)
23.2	398	0 3 1
23.4	531	1 3 0
23.9	507	1 1 1
25.0	428	1 0 -2
26.2	1000	2 1 -1
28.7	390	0 4 1

Cell and atoms:
Cell: 7.0418 14.1740 7.1649 Å, 90.00 114.06 90.00°
Element x y z (fractional)
Sm  0.0780  0.0000  0.4227
Sm  0.9220  0.5000  0.5773
Mo  0.4158  0.3332  0.2167
Mo  0.5842  0.8332  0.7833
I  0.1479  0.8704  0.9512
I  0.2351  0.2491  0.6946
I  0.2376  0.5933  0.1417
I  0.4784  0.0903  0.2393
I  0.5216  0.5903  0.7607
I  0.7624  0.0933  0.8583
I  0.7649  0.7491  0.3054
I  0.8521  0.3704  0.0488
O  0.0389  0.6013  0.8808
O  0.0434  0.3428  0.6025
O  0.0683  0.1480  0.5846
O  0.0921  0.9689  0.7706
O  0.2253  0.9381  0.1870
O  0.2329  0.4282  0.0625
O  0.2350  0.2410  0.9566
O  0.2477  0.7196  0.2123
O  0.2651  0.2923  0.3460
O  0.2852  0.5215  0.6423
O  0.3864  0.9033  0.6049
O  0.3953  0.0868  0.4524
O  0.4010  0.7098  0.7051
O  0.4211  0.8456  0.9914
O  0.4786  0.5985  0.1003
O  0.5214  0.0985  0.8997
O  0.5789  0.3456  0.0086
O  0.5990  0.2098  0.2949
O  0.6047  0.5868  0.5476
O  0.6136  0.4033  0.3951
O  0.7148  0.0215  0.3577
O  0.7349  0.7923  0.6540
O  0.7523  0.2196  0.7877
O  0.7650  0.7410  0.0434
O  0.7671  0.9282  0.9375
O  0.7747  0.4381  0.8130
O  0.9079  0.4689  0.2294
O  0.9317  0.6480  0.4154
O  0.9566  0.8428  0.3975
O  0.9611  0.1013  0.1192

***

Diffraction record for MgCrH3C2O6. The PXRD pattern is calculated, not measured: it uses a crystal structure in the Materials Project, relaxed with PBE+U and CuKα.

Principal peaks in the range 2θ from 5° to 70°, sorted by position:
2theta	Rel. int.	(hkl)
11.5	364	0 0 1
13.2	1000	1 0 0
15.3	344	0 1 1
16.7	373	1 0 1
19.6	350	0 1 -1
22.5	346	-1 1 1

Cell and atoms:
Cell: 6.8864 7.0796 7.9950 Å, 74.64 81.28 78.06°
Element x y z (fractional)
Mg  0.1696  0.0650  0.1668
Mg  0.8304  0.9350  0.8332
Cr  0.1395  0.6259  0.5034
Cr  0.8605  0.3741  0.4966
H  0.1909  0.6411  0.9130
H  0.3009  0.7702  0.4976
H  0.4309  0.7764  0.1548
H  0.5691  0.2236  0.8452
H  0.6991  0.2298  0.5024
H  0.8091  0.3589  0.0870
C  0.1033  0.2206  0.7772
C  0.2526  0.3164  0.2900
C  0.7474  0.6836  0.7100
C  0.8967  0.7794  0.2228
O  0.0368  0.8325  0.2913
O  0.0733  0.2549  0.3323
O  0.1631  0.1087  0.9188
O  0.1718  0.3783  0.6969
O  0.2889  0.4609  0.3410
O  0.3765  0.2194  0.1938
O  0.6235  0.7806  0.8062
O  0.7111  0.5391  0.6590
O  0.8282  0.6217  0.3031
O  0.8369  0.8913  0.0812
O  0.9267  0.7451  0.6677
O  0.9632  0.1675  0.7087

***

Diffraction record for RbMg14WO16. The PXRD pattern is calculated, not measured: it uses a crystal structure in the Materials Project, relaxed with PBE+U and CuKα.

Principal peaks in the range 2θ from 5° to 70°, sorted by position:
2theta	Rel. int.	(hkl)
14.3	666	1 1 0
24.6	460	1 1 1
35.3	550	2 2 1
40.4	552	0 0 2
41.3	1000	4 0 0
59.2	623	4 0 2

Cell and atoms:
Cell: 8.7362 8.7362 4.4684 Å, 90.00 90.00 90.00°
Element x y z (fractional)
Rb  0.0000  0.0000  0.0000
Mg  0.0000  0.2520  0.5000
Mg  0.0000  0.5000  0.0000
Mg  0.0000  0.7480  0.5000
Mg  0.2405  0.5000  0.5000
Mg  0.2462  0.2462  0.0000
Mg  0.2462  0.7538  0.0000
Mg  0.2520  0.0000  0.5000
Mg  0.5000  0.0000  0.0000
Mg  0.5000  0.2405  0.5000
Mg  0.5000  0.7595  0.5000
Mg  0.7480  0.0000  0.5000
Mg  0.7538  0.2462  0.0000
Mg  0.7538  0.7538  0.0000
Mg  0.7595  0.5000  0.5000
W  0.5000  0.5000  0.0000
O  0.0000  0.0000  0.5000
O  0.0000  0.2807  0.0000
O  0.0000  0.5000  0.5000
O  0.0000  0.7193  0.0000
O  0.2521  0.5000  0.0000
O  0.2526  0.2526  0.5000
O  0.2526  0.7474  0.5000
O  0.2807  0.0000  0.0000
O  0.5000  0.0000  0.5000
O  0.5000  0.2521  0.0000
O  0.5000  0.5000  0.5000
O  0.5000  0.7479  0.0000
O  0.7193  0.0000  0.0000
O  0.7474  0.2526  0.5000
O  0.7474  0.7474  0.5000
O  0.7479  0.5000  0.0000